This entry pairs a crystal structure of BaZr3 with its calculated PXRD pattern. Radiation: CuKα. Structure: the PBE geometry in OQMD.

Unit cell a=5.2224 b=6.5277 c=7.1247 alpha=90.00 beta=90.00 gamma=90.00
Fractional positions:
1 Ba 0.2500 0.2500 0.0996
2 Ba 0.7500 0.7500 0.9004
3 Zr 0.2500 0.0093 0.5923
4 Zr 0.2500 0.4907 0.5923
5 Zr 0.2500 0.7500 0.2501
6 Zr 0.7500 0.2500 0.7499
7 Zr 0.7500 0.5093 0.4077
8 Zr 0.7500 0.9907 0.4077

Most intense lines, 5 to 70 degrees two-theta, by angle:
3.539 Å, rel. 30
3.127 Å, rel. 21
2.967 Å, rel. 68
2.943 Å, rel. 85
2.683 Å, rel. 29
2.611 Å, rel. 59
2.580 Å, rel. 100
2.232 Å, rel. 19
1.960 Å, rel. 41
1.802 Å, rel. 21
1.632 Å, rel. 27
1.501 Å, rel. 18